(1)
# MnBe11
Computed powder XRD pattern, copper Kα. Input: a cell relaxed with PBE.

Structural model:
```
MnBe11
1.0
-4.3079 4.3079 2.7379
4.3079 -4.3079 2.7379
4.3079 4.3079 -2.7379
Mn Be
2 22
Direct
0.3750 0.6250 0.7500
0.6250 0.3750 0.2500
0.0000 0.0000 0.0000
0.0000 0.0000 0.5000
0.0000 0.5000 0.0000
0.1250 0.8750 0.2500
0.1412 0.5621 0.3298
0.1412 0.8114 0.5791
0.1886 0.2678 0.3298
0.1886 0.8588 0.9209
0.2678 0.1886 0.8298
0.2678 0.4379 0.0791
0.4379 0.2678 0.5791
0.4379 0.8588 0.1702
0.5000 0.0000 0.5000
0.5621 0.1412 0.8298
0.5621 0.7322 0.4209
0.7322 0.5621 0.9209
0.7322 0.8114 0.1702
0.8114 0.1412 0.0791
0.8114 0.7322 0.6702
0.8588 0.1886 0.4209
0.8588 0.4379 0.6702
0.8750 0.1250 0.7500
```

Main lines, in order of rising 2θ (15° ≤ 2θ ≤ 90°):
2theta, d/Å, I (rel.)
19.21, 4.621, 80
20.62, 4.308, 68
28.32, 3.151, 100
29.32, 3.046, 44
35.29, 2.543, 34
35.96, 2.497, 62
41.22, 2.190, 60
46.52, 1.952, 28
47.05, 1.931, 99
47.18, 1.927, 60
51.16, 1.786, 24
64.87, 1.437, 25

***

(2)
# LiTlInAs
Computed powder XRD pattern, copper Kα. Input: a cell relaxed with PBE.

Structural model:
```
LiTlInAs
1.0
0.0000 3.6300 3.6300
3.6300 0.0000 3.6300
3.6300 3.6300 0.0000
Li Tl In As
1 1 1 1
Direct
0.0000 0.0000 0.0000
0.7500 0.7500 0.7500
0.5000 0.5000 0.5000
0.2500 0.2500 0.2500
```

Main lines, in order of rising 2θ (15° ≤ 2θ ≤ 90°):
2theta, d/Å, I (rel.)
21.20, 4.192, 40
24.52, 3.630, 18
34.96, 2.567, 100
41.24, 2.189, 22
50.27, 1.815, 18
55.14, 1.666, 9
56.70, 1.623, 8
62.69, 1.482, 37
66.98, 1.397, 7
73.84, 1.283, 11
77.84, 1.227, 7
84.38, 1.148, 16